The following is a computed powder diffractogram of Li4Cr3Fe2Co3O16. It was derived from a DFT-relaxed cell (GGA+U, the Materials Project), using Cu Kα (λ = 1.5418 Å).
Lines closer than 0.1° are merged.

Principal peaks in the range 10° ≤ 2θ ≤ 90°, low angle first:
| 2θ (°) | d_spacing | intensity |
| --- | --- | --- |
| 18.7 | 4.750 | 100 |
| 19.7 | 4.507 | 56 |
| 20.0 | 4.446 | 73 |
| 20.1 | 4.415 | 19 |
| 33.6 | 2.670 | 19 |
| 36.2 | 2.482 | 28 |
| 36.5 | 2.461 | 41 |
| 36.8 | 2.443 | 26 |
| 46.1 | 1.970 | 29 |
| 61.5 | 1.508 | 23 |
| 63.1 | 1.473 | 20 |
| 64.2 | 1.452 | 39 |

Cell and atoms:
```
data_Li4Cr3Fe2Co3O16
_space_group_name_H-M_alt 'P 1'
_space_group_IT_number 1
_space_group_name_Hall 'P 1'
_cell_length_a 5.806
_cell_length_b 5.809
_cell_length_c 9.503
_cell_angle_alpha 90.18
_cell_angle_beta 90.88
_cell_angle_gamma 119.04
loop_
_atom_site_label
_atom_site_type_symbol
_atom_site_fract_x
_atom_site_fract_y
_atom_site_fract_z
Li1 Li 0.000 0.000 0.000
Li2 Li 0.000 0.000 0.499
Li3 Li 0.345 0.663 0.602
Li4 Li 0.679 0.323 0.104
Cr1 Cr 0.177 0.822 0.282
Cr2 Cr 0.345 0.165 0.783
Cr3 Cr 0.838 0.660 0.784
Fe1 Fe 0.338 0.658 0.006
Fe2 Fe 0.670 0.329 0.506
Co1 Co 0.175 0.331 0.281
Co2 Co 0.670 0.824 0.283
Co3 Co 0.836 0.166 0.780
O1 O 0.046 0.520 0.159
O2 O 0.160 0.826 0.894
O3 O 0.161 0.319 0.897
O4 O 0.326 0.150 0.398
O5 O 0.352 0.675 0.389
O6 O 0.495 0.954 0.162
O7 O 0.498 0.520 0.164
O8 O 0.533 0.484 0.661
O9 O 0.540 0.035 0.659
O10 O 0.679 0.830 0.890
O11 O 0.686 0.326 0.890
O12 O 0.833 0.150 0.387
O13 O 0.839 0.672 0.394
O14 O 0.970 0.475 0.662
O15 O 0.996 0.000 0.686
O16 O 0.996 0.978 0.187
```